Record 1
Starting from the PBE geometry in Alexandria, the powder X-ray diffraction pattern of NaIn2MoN4 was calculated for Cu Kα.

Peak list (10 most intense, 10 to 90 degrees two-theta, in order of rising 2θ)
2θ/deg, I (rel.)
19.53, 18
30.93, 100
34.52, 27
38.42, 10
49.63, 15
52.60, 26
59.63, 28
64.45, 9
64.86, 11
85.84, 10

Unit cell a=5.196 b=5.196 c=9.372 alpha=90.00 beta=90.00 gamma=90.00
Atoms (fractional coordinates):
Na (0.000, 0.000, 0.000)
Na (0.500, 0.500, 0.500)
In (0.000, 0.500, 0.250)
In (0.000, 0.500, 0.750)
In (0.500, 0.000, 0.250)
In (0.500, 0.000, 0.750)
Mo (0.000, 0.000, 0.500)
Mo (0.500, 0.500, 0.000)
N (0.209, 0.209, 0.380)
N (0.209, 0.791, 0.620)
N (0.291, 0.291, 0.880)
N (0.291, 0.709, 0.120)
N (0.709, 0.291, 0.120)
N (0.709, 0.709, 0.880)
N (0.791, 0.209, 0.620)
N (0.791, 0.791, 0.380)

---

Record 2
Starting from the PBE geometry in Alexandria, the powder X-ray diffraction pattern of Zn2InMoN4 was calculated for Cu Kα.

Peak list (10 most intense, 10 to 90 degrees two-theta, in order of rising 2θ)
2θ/deg, I (rel.)
32.53, 100
36.46, 26
40.20, 10
52.52, 15
55.38, 25
63.15, 27
68.14, 9
68.24, 11
86.55, 6
88.78, 5

Unit cell a=4.929 b=4.929 c=8.973 alpha=90.00 beta=90.00 gamma=90.00
Atoms (fractional coordinates):
Zn (0.000, 0.500, 0.250)
Zn (0.000, 0.500, 0.750)
Zn (0.500, 0.000, 0.250)
Zn (0.500, 0.000, 0.750)
In (0.000, 0.000, 0.000)
In (0.500, 0.500, 0.500)
Mo (0.000, 0.000, 0.500)
Mo (0.500, 0.500, 0.000)
N (0.222, 0.222, 0.625)
N (0.222, 0.778, 0.375)
N (0.278, 0.278, 0.125)
N (0.278, 0.722, 0.875)
N (0.722, 0.278, 0.875)
N (0.722, 0.722, 0.125)
N (0.778, 0.222, 0.375)
N (0.778, 0.778, 0.625)